[1]
The following is a theoretical powder diffraction line list of Ni2PC. It was derived from the PBE geometry in Alexandria, using Cu Kα X-rays.
No peak broadening, texture or thermal motion is included.

Main lines, sorted by position (2θ from 15° to 90°):
d = 2.719 Å, I = 14, hkl 1 0 3
d = 2.659 Å, I = 100, hkl 1 1 2
d = 2.604 Å, I = 13, hkl 0 0 4
d = 1.922 Å, I = 25, hkl 2 1 1
d = 1.704 Å, I = 10, hkl 2 1 3
d = 1.675 Å, I = 30, hkl 2 0 4
d = 1.546 Å, I = 7, hkl 2 2 0
d = 1.514 Å, I = 16, hkl 1 1 6
d = 1.337 Å, I = 8, hkl 3 1 2
d = 1.145 Å, I = 8, hkl 3 2 3

```
data_Ni2PC
_symmetry_space_group_name_H-M 'I -4 2 d'
_symmetry_Int_Tables_number 122
_symmetry_space_group_name_Hall 'I -4 2bw'
_cell_length_a 4.3729
_cell_length_b 4.3729
_cell_length_c 10.4174
_cell_angle_alpha 90.00
_cell_angle_beta 90.00
_cell_angle_gamma 90.00
loop_
_atom_site_label
_atom_site_type_symbol
_atom_site_fract_x
_atom_site_fract_y
_atom_site_fract_z
_atom_site_occupancy
Ni1 Ni 0.1719 0.2500 0.1250 1
P1 P 0.0000 0.0000 0.5000 1
C1 C 0.0000 0.0000 0.0000 1
```


[2]
The following is a theoretical powder diffraction line list of NiSnPC. It was derived from the PBE geometry in Alexandria, using Cu Kα X-rays.
No peak broadening, texture or thermal motion is included.

Main lines, sorted by position (2θ from 15° to 90°):
d = 3.350 Å, I = 51, hkl 0 1 0
d = 3.038 Å, I = 23, hkl 0 0 2
d = 2.934 Å, I = 66, hkl 0 1 1
d = 2.655 Å, I = 100, hkl 1 0 1
d = 2.251 Å, I = 27, hkl 0 1 2
d = 2.117 Å, I = 22, hkl 1 0 2
d = 2.081 Å, I = 56, hkl 1 1 1
d = 1.790 Å, I = 61, hkl 1 1 2
d = 1.733 Å, I = 28, hkl 0 1 3
d = 1.417 Å, I = 28, hkl 1 2 1

```
data_NiSnPC
_symmetry_space_group_name_H-M 'P m m 2'
_symmetry_Int_Tables_number 25
_symmetry_space_group_name_Hall 'P 2 -2'
_cell_length_a 2.9514
_cell_length_b 3.3503
_cell_length_c 6.0764
_cell_angle_alpha 90.00
_cell_angle_beta 90.00
_cell_angle_gamma 90.00
loop_
_atom_site_label
_atom_site_type_symbol
_atom_site_fract_x
_atom_site_fract_y
_atom_site_fract_z
_atom_site_occupancy
Ni1 Ni 0.0000 0.0000 0.0000 1
Sn1 Sn 0.5000 0.0000 0.3459 1
P1 P 0.0000 0.5000 0.7668 1
C1 C 0.5000 0.5000 0.5905 1
```


[3]
The following is a theoretical powder diffraction line list of Pa3Ni2C4. It was derived from the PBE geometry in Alexandria, using Cu Kα X-rays.
No peak broadening, texture or thermal motion is included.

Main lines, sorted by position (2θ from 15° to 90°):
d = 3.364 Å, I = 67, hkl 0 1 3
d = 3.146 Å, I = 26, hkl 0 2 0
d = 2.985 Å, I = 15, hkl 0 0 4
d = 2.727 Å, I = 100, hkl 1 1 2
d = 2.299 Å, I = 33, hkl 1 2 1
d = 1.974 Å, I = 15, hkl 1 0 5
d = 1.855 Å, I = 22, hkl 0 3 3
d = 1.724 Å, I = 13, hkl 1 3 2
d = 1.672 Å, I = 33, hkl 1 2 5
d = 1.556 Å, I = 13, hkl 2 1 3

```
data_Pa3Ni2C4
_symmetry_space_group_name_H-M 'I m m m'
_symmetry_Int_Tables_number 71
_symmetry_space_group_name_Hall '-I 2 2'
_cell_length_a 3.5110
_cell_length_b 6.2911
_cell_length_c 11.9395
_cell_angle_alpha 90.00
_cell_angle_beta 90.00
_cell_angle_gamma 90.00
loop_
_atom_site_label
_atom_site_type_symbol
_atom_site_fract_x
_atom_site_fract_y
_atom_site_fract_z
_atom_site_occupancy
Pa1 Pa 0.0000 0.0000 0.0000 1
Pa2 Pa 0.0000 0.5000 0.1986 1
Ni1 Ni 0.0000 0.1778 0.5000 1
C1 C 0.0000 0.2759 0.3539 1
```


[4]
The following is a theoretical powder diffraction line list of Pm4Ni13C4. It was derived from the PBE geometry in Alexandria, using Cu Kα X-rays.
No peak broadening, texture or thermal motion is included.

Main lines, sorted by position (2θ from 15° to 90°):
d = 2.732 Å, I = 69, hkl 1 3 1
d = 2.712 Å, I = 37, hkl 3 1 1
d = 2.661 Å, I = 28, hkl 4 2 0
d = 2.392 Å, I = 52, hkl 0 4 1
d = 2.218 Å, I = 20, hkl 2 4 1
d = 2.201 Å, I = 100, hkl 4 2 1
d = 2.060 Å, I = 39, hkl 3 5 0
d = 2.043 Å, I = 24, hkl 5 3 0
d = 1.960 Å, I = 47, hkl 0 0 2
d = 1.420 Å, I = 23, hkl 3 5 2

```
data_Pm4Ni13C4
_symmetry_space_group_name_H-M 'C m m m'
_symmetry_Int_Tables_number 65
_symmetry_space_group_name_Hall '-C 2 2'
_cell_length_a 11.8558
_cell_length_b 12.0732
_cell_length_c 3.9200
_cell_angle_alpha 90.00
_cell_angle_beta 90.00
_cell_angle_gamma 90.00
loop_
_atom_site_label
_atom_site_type_symbol
_atom_site_fract_x
_atom_site_fract_y
_atom_site_fract_z
_atom_site_occupancy
Pm1 Pm 0.0000 0.1901 0.0000 1
Pm2 Pm 0.1532 0.5000 0.0000 1
Ni1 Ni 0.0000 0.0000 0.5000 1
Ni2 Ni 0.1086 0.3244 0.5000 1
Ni3 Ni 0.1213 0.0000 0.0000 1
Ni4 Ni 0.1812 0.1092 0.5000 1
Ni5 Ni 0.2500 0.2500 0.0000 1
C1 C 0.0000 0.4435 0.5000 1
C2 C 0.2500 0.2500 0.5000 1
```


[5]
The following is a theoretical powder diffraction line list of Pm2NiC4. It was derived from the PBE geometry in Alexandria, using Cu Kα X-rays.
No peak broadening, texture or thermal motion is included.

Main lines, sorted by position (2θ from 15° to 90°):
d = 3.272 Å, I = 100, hkl 1 2 1
d = 3.081 Å, I = 39, hkl 1 3 0
d = 2.914 Å, I = 59, hkl 2 1 1
d = 2.611 Å, I = 22, hkl 0 0 2
d = 2.423 Å, I = 29, hkl 3 1 0
d = 2.396 Å, I = 22, hkl 1 1 2
d = 2.142 Å, I = 20, hkl 2 0 2
d = 1.819 Å, I = 26, hkl 0 4 2
d = 1.688 Å, I = 21, hkl 0 6 0
d = 1.592 Å, I = 31, hkl 3 3 2

```
data_Pm2NiC4
_symmetry_space_group_name_H-M 'I b a m'
_symmetry_Int_Tables_number 72
_symmetry_space_group_name_Hall '-I 2 2c'
_cell_length_a 7.4862
_cell_length_b 10.1432
_cell_length_c 5.2224
_cell_angle_alpha 90.00
_cell_angle_beta 90.00
_cell_angle_gamma 90.00
loop_
_atom_site_label
_atom_site_type_symbol
_atom_site_fract_x
_atom_site_fract_y
_atom_site_fract_z
_atom_site_occupancy
Pm1 Pm 0.1696 0.1432 0.0000 1
Ni1 Ni 0.0000 0.5000 0.2500 1
C1 C 0.1602 0.1236 0.5000 1
C2 C 0.1694 0.4169 0.0000 1
```


[6]
The following is a theoretical powder diffraction line list of PmNi3C. It was derived from the PBE geometry in Alexandria, using Cu Kα X-rays.
No peak broadening, texture or thermal motion is included.

Main lines, sorted by position (2θ from 15° to 90°):
d = 3.474 Å, I = 25, hkl 1 0 1
d = 2.815 Å, I = 11, hkl 1 1 0
d = 2.475 Å, I = 31, hkl 0 0 2
d = 2.438 Å, I = 20, hkl 2 0 0
d = 2.187 Å, I = 100, hkl 2 0 1
d = 1.737 Å, I = 18, hkl 2 0 2
d = 1.408 Å, I = 16, hkl 2 2 0
d = 1.367 Å, I = 21, hkl 2 0 3
d = 1.224 Å, I = 17, hkl 2 2 2
d = 1.184 Å, I = 12, hkl 4 0 1

```
data_PmNi3C
_symmetry_space_group_name_H-M 'P 63/m m c'
_symmetry_Int_Tables_number 194
_symmetry_space_group_name_Hall '-P 6c 2c'
_cell_length_a 5.6310
_cell_length_b 5.6310
_cell_length_c 4.9509
_cell_angle_alpha 90.00
_cell_angle_beta 90.00
_cell_angle_gamma 120.00
loop_
_atom_site_label
_atom_site_type_symbol
_atom_site_fract_x
_atom_site_fract_y
_atom_site_fract_z
_atom_site_occupancy
Pm1 Pm 0.3333 0.6667 0.2500 1
Ni1 Ni 0.1567 0.3134 0.7500 1
C1 C 0.0000 0.0000 0.0000 1
```


[7]
The following is a theoretical powder diffraction line list of PmNiC. It was derived from the PBE geometry in Alexandria, using Cu Kα X-rays.
No peak broadening, texture or thermal motion is included.

Main lines, sorted by position (2θ from 15° to 90°):
d = 3.675 Å, I = 18, hkl 1 0 0
d = 2.599 Å, I = 46, hkl 1 1 0
d = 2.578 Å, I = 100, hkl 1 0 2
d = 2.111 Å, I = 10, hkl 1 1 2
d = 1.838 Å, I = 20, hkl 2 0 0
d = 1.809 Å, I = 9, hkl 0 0 4
d = 1.496 Å, I = 36, hkl 2 1 2
d = 1.485 Å, I = 16, hkl 1 1 4
d = 1.289 Å, I = 12, hkl 2 0 4
d = 1.160 Å, I = 8, hkl 3 0 2

```
data_PmNiC
_symmetry_space_group_name_H-M 'P 42/m m c'
_symmetry_Int_Tables_number 131
_symmetry_space_group_name_Hall '-P 4c 2'
_cell_length_a 3.6751
_cell_length_b 3.6751
_cell_length_c 7.2358
_cell_angle_alpha 90.00
_cell_angle_beta 90.00
_cell_angle_gamma 90.00
loop_
_atom_site_label
_atom_site_type_symbol
_atom_site_fract_x
_atom_site_fract_y
_atom_site_fract_z
_atom_site_occupancy
Pm1 Pm 0.0000 0.0000 0.2500 1
Ni1 Ni 0.5000 0.5000 0.0000 1
C1 C 0.0000 0.5000 0.0000 1
```


[8]
The following is a theoretical powder diffraction line list of Pr2NiC4. It was derived from the PBE geometry in Alexandria, using Cu Kα X-rays.
No peak broadening, texture or thermal motion is included.

Main lines, sorted by position (2θ from 15° to 90°):
d = 3.329 Å, I = 100, hkl 1 2 1
d = 3.146 Å, I = 39, hkl 1 3 0
d = 2.941 Å, I = 56, hkl 2 1 1
d = 2.655 Å, I = 22, hkl 0 0 2
d = 2.434 Å, I = 51, hkl 3 1 0
d = 2.168 Å, I = 21, hkl 2 0 2
d = 2.137 Å, I = 17, hkl 2 4 0
d = 1.857 Å, I = 27, hkl 0 4 2
d = 1.612 Å, I = 31, hkl 3 3 2
d = 1.277 Å, I = 20, hkl 3 7 0

```
data_Pr2NiC4
_symmetry_space_group_name_H-M 'I b a m'
_symmetry_Int_Tables_number 72
_symmetry_space_group_name_Hall '-I 2 2c'
_cell_length_a 7.5141
_cell_length_b 10.3927
_cell_length_c 5.3093
_cell_angle_alpha 90.00
_cell_angle_beta 90.00
_cell_angle_gamma 90.00
loop_
_atom_site_label
_atom_site_type_symbol
_atom_site_fract_x
_atom_site_fract_y
_atom_site_fract_z
_atom_site_occupancy
Pr1 Pr 0.1719 0.1432 0.0000 1
Ni1 Ni 0.0000 0.5000 0.2500 1
C1 C 0.1635 0.1221 0.5000 1
C2 C 0.1672 0.4177 0.0000 1
```


[9]
The following is a theoretical powder diffraction line list of RbNi2C2. It was derived from the PBE geometry in Alexandria, using Cu Kα X-rays.
No peak broadening, texture or thermal motion is included.

Main lines, sorted by position (2θ from 15° to 90°):
d = 3.383 Å, I = 42, hkl 1 0 1
d = 3.042 Å, I = 62, hkl 0 0 4
d = 2.659 Å, I = 42, hkl 1 0 3
d = 2.305 Å, I = 100, hkl 1 1 2
d = 1.761 Å, I = 28, hkl 2 0 0
d = 1.573 Å, I = 37, hkl 1 1 6
d = 1.524 Å, I = 29, hkl 2 0 4
d = 1.468 Å, I = 12, hkl 2 1 3
d = 1.152 Å, I = 11, hkl 2 2 4
d = 1.096 Å, I = 18, hkl 3 1 2

```
data_RbNi2C2
_symmetry_space_group_name_H-M 'I 4/m m m'
_symmetry_Int_Tables_number 139
_symmetry_space_group_name_Hall '-I 4 2'
_cell_length_a 3.5219
_cell_length_b 3.5219
_cell_length_c 12.1687
_cell_angle_alpha 90.00
_cell_angle_beta 90.00
_cell_angle_gamma 90.00
loop_
_atom_site_label
_atom_site_type_symbol
_atom_site_fract_x
_atom_site_fract_y
_atom_site_fract_z
_atom_site_occupancy
Rb1 Rb 0.0000 0.0000 0.0000 1
Ni1 Ni 0.0000 0.5000 0.2500 1
C1 C 0.0000 0.0000 0.3163 1
```


[10]
The following is a theoretical powder diffraction line list of NiRuC. It was derived from the PBE geometry in Alexandria, using Cu Kα X-rays.
No peak broadening, texture or thermal motion is included.

Main lines, sorted by position (2θ from 15° to 90°):
d = 4.601 Å, I = 17, hkl 0 0 6
d = 2.430 Å, I = 48, hkl 1 0 1
d = 2.402 Å, I = 19, hkl 0 1 2
d = 2.300 Å, I = 100, hkl 0 0 12
d = 2.231 Å, I = 45, hkl 0 1 5
d = 2.075 Å, I = 40, hkl 1 0 7
d = 1.992 Å, I = 50, hkl 0 1 8
d = 1.749 Å, I = 24, hkl 0 1 11
d = 1.408 Å, I = 45, hkl 1 1 0
d = 1.201 Å, I = 50, hkl 1 1 12

```
data_NiRuC
_symmetry_space_group_name_H-M 'R 3 m'
_symmetry_Int_Tables_number 160
_symmetry_space_group_name_Hall 'R 3 -2"'
_cell_length_a 2.8168
_cell_length_b 2.8168
_cell_length_c 27.6065
_cell_angle_alpha 90.00
_cell_angle_beta 90.00
_cell_angle_gamma 120.00
loop_
_atom_site_label
_atom_site_type_symbol
_atom_site_fract_x
_atom_site_fract_y
_atom_site_fract_z
_atom_site_occupancy
Ni1 Ni 0.0000 0.0000 0.0000 1
Ni2 Ni 0.0000 0.0000 0.4947 1
Ru1 Ru 0.0000 0.0000 0.5853 1
Ru2 Ru 0.0000 0.0000 0.7493 1
C1 C 0.0000 0.0000 0.2047 1
C2 C 0.0000 0.0000 0.3714 1
```


[11]
The following is a theoretical powder diffraction line list of YNiRu2C. It was derived from the PBE geometry in Alexandria, using Cu Kα X-rays.
No peak broadening, texture or thermal motion is included.

Main lines, sorted by position (2θ from 15° to 90°):
d = 3.966 Å, I = 3, hkl 0 0 1
d = 2.876 Å, I = 2, hkl 1 0 1
d = 2.368 Å, I = 100, hkl 1 1 1
d = 2.088 Å, I = 38, hkl 2 0 0
d = 1.983 Å, I = 16, hkl 0 0 2
d = 1.476 Å, I = 12, hkl 2 2 0
d = 1.438 Å, I = 22, hkl 2 0 2
d = 1.253 Å, I = 25, hkl 3 1 1
d = 1.207 Å, I = 11, hkl 1 1 3
d = 1.184 Å, I = 11, hkl 2 2 2

```
data_YNiRu2C
_symmetry_space_group_name_H-M 'P 4/m m m'
_symmetry_Int_Tables_number 123
_symmetry_space_group_name_Hall '-P 4 2'
_cell_length_a 4.1755
_cell_length_b 4.1755
_cell_length_c 3.9662
_cell_angle_alpha 90.00
_cell_angle_beta 90.00
_cell_angle_gamma 90.00
loop_
_atom_site_label
_atom_site_type_symbol
_atom_site_fract_x
_atom_site_fract_y
_atom_site_fract_z
_atom_site_occupancy
Y1 Y 0.0000 0.0000 0.0000 1
Ni1 Ni 0.5000 0.5000 0.0000 1
Ru1 Ru 0.0000 0.5000 0.5000 1
C1 C 0.5000 0.5000 0.5000 1
```


[12]
The following is a theoretical powder diffraction line list of Y2NiRuC. It was derived from the PBE geometry in Alexandria, using Cu Kα X-rays.
No peak broadening, texture or thermal motion is included.

Main lines, sorted by position (2θ from 15° to 90°):
d = 2.577 Å, I = 100, hkl 1 1 1
d = 2.456 Å, I = 49, hkl 2 0 0
d = 1.922 Å, I = 12, hkl 0 0 2
d = 1.737 Å, I = 16, hkl 2 2 0
d = 1.513 Å, I = 21, hkl 2 0 2
d = 1.440 Å, I = 31, hkl 3 1 1
d = 1.288 Å, I = 12, hkl 2 2 2
d = 1.202 Å, I = 8, hkl 1 1 3
d = 1.109 Å, I = 7, hkl 3 3 1
d = 1.098 Å, I = 7, hkl 4 2 0

```
data_Y2NiRuC
_symmetry_space_group_name_H-M 'P 4/m m m'
_symmetry_Int_Tables_number 123
_symmetry_space_group_name_Hall '-P 4 2'
_cell_length_a 4.9121
_cell_length_b 4.9121
_cell_length_c 3.8432
_cell_angle_alpha 90.00
_cell_angle_beta 90.00
_cell_angle_gamma 90.00
loop_
_atom_site_label
_atom_site_type_symbol
_atom_site_fract_x
_atom_site_fract_y
_atom_site_fract_z
_atom_site_occupancy
Y1 Y 0.0000 0.5000 0.0000 1
Ni1 Ni 0.0000 0.0000 0.5000 1
Ru1 Ru 0.5000 0.5000 0.5000 1
C1 C 0.5000 0.5000 0.0000 1
```


[13]
The following is a theoretical powder diffraction line list of Ni2CS. It was derived from the PBE geometry in Alexandria, using Cu Kα X-rays.
No peak broadening, texture or thermal motion is included.

Main lines, sorted by position (2θ from 15° to 90°):
d = 4.935 Å, I = 100, hkl 0 1 0
d = 4.527 Å, I = 69, hkl 0 1 1
d = 2.696 Å, I = 35, hkl 1 0 -1
d = 2.608 Å, I = 35, hkl 0 2 1
d = 2.545 Å, I = 33, hkl 1 0 2
d = 2.035 Å, I = 48, hkl 1 2 0
d = 1.857 Å, I = 39, hkl 2 0 1
d = 1.845 Å, I = 38, hkl 0 0 3
d = 1.832 Å, I = 40, hkl 1 -2 1
d = 1.811 Å, I = 57, hkl 1 2 3

```
data_Ni2CS
_symmetry_space_group_name_H-M 'P -1'
_symmetry_Int_Tables_number 2
_symmetry_space_group_name_Hall '-P 1'
_cell_length_a 3.7401
_cell_length_b 5.2766
_cell_length_c 6.1420
_cell_angle_alpha 69.28
_cell_angle_beta 73.36
_cell_angle_gamma 84.05
loop_
_atom_site_label
_atom_site_type_symbol
_atom_site_fract_x
_atom_site_fract_y
_atom_site_fract_z
_atom_site_occupancy
Ni1 Ni 0.0550 0.2415 0.4748 1
Ni2 Ni 0.3149 0.5698 0.8329 1
C1 C 0.3782 0.8968 0.5548 1
S1 S 0.1473 0.6517 0.1856 1
```


[14]
The following is a theoretical powder diffraction line list of Th6NiC2S3. It was derived from the PBE geometry in Alexandria, using Cu Kα X-rays.
No peak broadening, texture or thermal motion is included.

Main lines, sorted by position (2θ from 15° to 90°):
d = 3.358 Å, I = 40, hkl 4 0 -2
d = 3.256 Å, I = 41, hkl 2 0 2
d = 3.196 Å, I = 82, hkl 3 1 0
d = 2.833 Å, I = 50, hkl 6 0 0
d = 2.805 Å, I = 100, hkl 1 1 -2
d = 2.035 Å, I = 16, hkl 2 0 -4
d = 2.016 Å, I = 33, hkl 7 1 -2
d = 1.971 Å, I = 35, hkl 5 1 2
d = 1.935 Å, I = 19, hkl 0 2 0
d = 1.598 Å, I = 18, hkl 6 2 0

```
data_Th6NiC2S3
_symmetry_space_group_name_H-M 'C 1 2/m 1'
_symmetry_Int_Tables_number 12
_symmetry_space_group_name_Hall '-C 2y'
_cell_length_a 17.6180
_cell_length_b 3.8695
_cell_length_c 8.1457
_cell_angle_alpha 90.00
_cell_angle_beta 105.22
_cell_angle_gamma 90.00
loop_
_atom_site_label
_atom_site_type_symbol
_atom_site_fract_x
_atom_site_fract_y
_atom_site_fract_z
_atom_site_occupancy
Th1 Th 0.0125 0.0000 0.2464 1
Th2 Th 0.1690 0.5000 0.1157 1
Th3 Th 0.1744 0.5000 0.5641 1
Ni1 Ni 0.0000 0.5000 0.0000 1
C1 C 0.1701 0.0000 0.3359 1
S1 S 0.0000 0.5000 0.5000 1
S2 S 0.1628 0.0000 0.8339 1
```